For NpN, a DFT-relaxed cell (GGA-PBE, the Materials Project) gives the computed X-ray powder pattern in this record (Cu Kα).
Neutral-atom scattering factors, no anomalous dispersion.

Structural model:
```
NpN
1.0
0.0000 2.4343 2.4343
2.4343 0.0000 2.4343
2.4343 2.4343 0.0000
Np N
1 1
Cartesian
0.0000 0.0000 0.0000
2.4343 2.4343 2.4343
```

Peak list (6 most intense, 2θ from 15° to 90°, most intense first)
2θ/deg	d/Å	I (rel.)
31.84	2.811	100
36.93	2.434	65
63.36	1.468	46
53.21	1.721	46
87.29	1.117	20
66.53	1.405	16

For AlTe2Cl4, a DFT-relaxed cell (GGA-PBE, the Materials Project) gives the computed X-ray powder pattern in this record (Cu Kα).
Neutral-atom scattering factors, no anomalous dispersion.

Structural model:
```
AlTe2Cl4
1.0
11.6757 0.0000 0.0000
0.0000 14.2799 0.0000
0.0000 0.0000 12.2230
Al Te Cl
8 16 32
Cartesian
1.1955 2.0732 1.0838
1.1955 5.0667 7.1953
4.6423 9.2132 1.0838
4.6423 12.2067 7.1953
7.0334 2.0732 5.0277
7.0334 5.0667 11.1392
10.4802 9.2132 5.0277
10.4802 12.2067 11.1392
0.0469 0.9755 7.7665
0.0469 6.1645 1.6550
1.3195 1.1904 5.3740
1.3195 5.9496 11.4856
4.5183 8.3304 5.3740
4.5183 13.0895 11.4856
5.7910 8.1155 7.7665
5.7910 13.3044 1.6550
5.8847 0.9755 10.5680
5.8847 6.1645 4.4565
7.1574 1.1904 0.7375
7.1574 5.9496 6.8490
10.3562 8.3304 0.7375
10.3562 13.0895 6.8490
11.6288 8.1155 10.5680
11.6288 13.3044 4.4565
0.7955 9.6130 4.3556
0.7955 11.8069 10.4671
1.3568 1.6458 11.2201
1.3568 5.4941 5.1086
2.0588 0.4374 2.2546
2.0588 6.7026 8.3662
2.4161 3.3007 7.6178
2.4161 3.8393 1.5063
3.4217 10.4407 7.6178
3.4217 10.9792 1.5063
3.7791 7.5774 2.2546
3.7791 13.8425 8.3662
4.4811 8.7858 11.2201
4.4811 12.6341 5.1086
5.0424 2.4730 4.3556
5.0424 4.6670 10.4671
6.6333 9.6130 1.7559
6.6333 11.8069 7.8674
7.1946 1.6458 7.1144
7.1946 5.4941 1.0029
7.8966 0.4374 3.8569
7.8966 6.7026 9.9684
8.2540 3.3007 10.7167
8.2540 3.8393 4.6052
9.2596 10.4407 10.7167
9.2596 10.9792 4.6052
9.6169 7.5774 3.8569
9.6169 13.8425 9.9684
10.3189 8.7858 7.1144
10.3189 12.6341 1.0029
10.8802 2.4730 1.7559
10.8802 4.6670 7.8674
```

Peak list (6 most intense, 2θ from 15° to 90°, most intense first)
2θ/deg	d/Å	I (rel.)
33.13	2.704	100
16.40	5.404	68
24.12	3.689	64
30.24	2.956	57
45.76	1.983	56
15.18	5.838	49

For TbPrO4, a DFT-relaxed cell (GGA-PBE, the Materials Project) gives the computed X-ray powder pattern in this record (Cu Kα).
Neutral-atom scattering factors, no anomalous dispersion.

Structural model:
```
TbPrO4
1.0
7.9953 0.0000 0.0000
0.0000 5.5515 0.0000
-0.6264 0.0000 7.9378
Tb Pr O
4 4 16
Cartesian
0.9405 1.3748 0.8912
0.6273 1.4010 4.8601
6.7416 4.1505 3.0777
6.4284 4.1767 7.0465
2.7730 4.1535 2.9055
2.4598 4.1738 6.8743
4.9091 1.3777 1.0634
4.5959 1.3980 5.0323
0.2985 0.0653 6.8016
0.6117 2.7104 2.8327
0.6650 0.0032 2.8805
0.3518 2.7725 6.8494
2.8304 0.0303 0.9105
2.5172 2.7455 4.8794
2.5294 0.0573 4.8877
2.8426 2.7184 0.9188
4.5263 2.8331 7.0190
4.8395 5.4942 3.0501
4.8517 2.8060 3.0584
4.5385 5.5212 7.0272
7.0171 2.7790 1.0884
6.7039 5.5483 5.0573
6.7572 2.8411 5.1051
7.0704 5.4862 1.1362
```

Peak list (6 most intense, 2θ from 15° to 90°, most intense first)
2θ/deg	d/Å	I (rel.)
27.59	3.233	100
44.99	2.015	19
46.87	1.938	17
54.71	1.678	15
30.51	2.930	12
32.25	2.776	10

Repeat the third record exactly.
For TbPrO4, a DFT-relaxed cell (GGA-PBE, the Materials Project) gives the computed X-ray powder pattern in this record (Cu Kα).
Neutral-atom scattering factors, no anomalous dispersion.

Structural model:
```
TbPrO4
1.0
7.9953 0.0000 0.0000
0.0000 5.5515 0.0000
-0.6264 0.0000 7.9378
Tb Pr O
4 4 16
Cartesian
0.9405 1.3748 0.8912
0.6273 1.4010 4.8601
6.7416 4.1505 3.0777
6.4284 4.1767 7.0465
2.7730 4.1535 2.9055
2.4598 4.1738 6.8743
4.9091 1.3777 1.0634
4.5959 1.3980 5.0323
0.2985 0.0653 6.8016
0.6117 2.7104 2.8327
0.6650 0.0032 2.8805
0.3518 2.7725 6.8494
2.8304 0.0303 0.9105
2.5172 2.7455 4.8794
2.5294 0.0573 4.8877
2.8426 2.7184 0.9188
4.5263 2.8331 7.0190
4.8395 5.4942 3.0501
4.8517 2.8060 3.0584
4.5385 5.5212 7.0272
7.0171 2.7790 1.0884
6.7039 5.5483 5.0573
6.7572 2.8411 5.1051
7.0704 5.4862 1.1362
```

Peak list (6 most intense, 2θ from 15° to 90°, most intense first)
2θ/deg	d/Å	I (rel.)
27.59	3.233	100
44.99	2.015	19
46.87	1.938	17
54.71	1.678	15
30.51	2.930	12
32.25	2.776	10